Record 1
The following is a calculated powder X-ray diffraction pattern of Ba3Si4. It was derived from DFT lattice parameters and positions (GGA-PBE), using Cu Kα (λ = 1.5418 Å).
Neutral-atom scattering factors, no anomalous dispersion.

Structural model:
```
data_Ba3Si4
_chemical_formula_sum 'Ba12 Si16'
_space_group_name_H-M_alt 'P 42/m n m'
_space_group_IT_number 136
_space_group_name_Hall '-P 4n 2n'
_cell_length_a 8.582
_cell_length_b 8.582
_cell_length_c 11.964
_cell_angle_alpha 90.00
_cell_angle_beta 90.00
_cell_angle_gamma 90.00
loop_
_atom_site_label
_atom_site_fract_x
_atom_site_fract_y
_atom_site_fract_z
Ba1 0.000 0.000 0.169
Ba2 0.000 0.500 0.250
Ba3 0.164 0.164 0.500
Si1 0.101 0.301 0.000
Si2 0.200 0.800 0.356
```

Main lines, in order of falling intensity (5° ≤ 2θ ≤ 70°):
(hkl)  two_theta  intensity
2 0 2  25.55  100
2 2 0  29.44  49
3 0 1  32.17  44
1 0 3  24.62  43
2 1 2  27.61  36
4 2 0  47.39  32
3 1 4  45.11  30
2 2 2  33.10  30
4 0 2  44.87  30
2 1 3  32.37  28

***

Record 2
The following is a calculated powder X-ray diffraction pattern of Co3Mo3N. It was derived from DFT lattice parameters and positions (GGA-PBE), using Cu Kα (λ = 1.5418 Å).
Neutral-atom scattering factors, no anomalous dispersion.

Structural model:
a = 11.050 Å, b = 11.050 Å, c = 11.050 Å
α = 90.00°, β = 90.00°, γ = 90.00°
Space group Fd-3m (No. 227, origin choice 2)
Unique sites:
Co (0.000, 0.000, 0.000) x16
Co (0.045, 0.045, 0.205) x32
Mo (0.077, 0.375, 0.875) x48
N (0.000, 0.000, 0.500) x16

Main lines, in order of falling intensity (5° ≤ 2θ ≤ 70°):
(hkl)  two_theta  intensity
3 3 3  42.51  100
4 4 0  46.49  47
4 2 2  39.97  42
3 3 1  35.41  15
7 3 3  69.65  10
4 0 0  32.41  9
7 3 1  64.81  9
4 4 2  49.49  8
5 5 1  59.77  6
6 2 2  55.13  5

***

Record 3
The following is a calculated powder X-ray diffraction pattern of Li6CuF8. It was derived from DFT lattice parameters and positions (GGA-PBE), using Cu Kα (λ = 1.5418 Å).
Neutral-atom scattering factors, no anomalous dispersion.

Structural model:
```
data_Li6CuF8
_chemical_formula_sum 'Li12 Cu2 F16'
_space_group_name_H-M_alt 'C 1 2/m 1'
_space_group_IT_number 12
_space_group_name_Hall '-C 2y'
_cell_length_a 10.173
_cell_length_b 5.723
_cell_length_c 5.983
_cell_angle_alpha 90.00
_cell_angle_beta 121.91
_cell_angle_gamma 90.00
loop_
_atom_site_label
_atom_site_fract_x
_atom_site_fract_y
_atom_site_fract_z
Li1 0.000 0.000 0.000
Li2 0.000 0.500 0.000
Li3 0.157 0.000 0.469
Li4 0.250 0.250 0.000
Cu1 0.000 0.500 0.500
F1 0.002 0.255 0.269
F2 0.220 0.500 0.178
F3 0.225 0.000 0.226
```

Main lines, in order of falling intensity (5° ≤ 2θ ≤ 70°):
(hkl)  two_theta  intensity
2 0 -1  18.62  100
2 2 -2  43.83  80
1 1 -1  21.51  47
4 0 0  41.84  43
1 1 -2  34.86  41
6 2 -2  63.87  35
3 1 -1  30.67  29
2 0 0  20.57  29
2 0 1  33.60  27
2 2 2  60.51  21

***

Record 4
The following is a calculated powder X-ray diffraction pattern of NdB2Os2. It was derived from DFT lattice parameters and positions (GGA-PBE), using Cu Kα (λ = 1.5418 Å).
Neutral-atom scattering factors, no anomalous dispersion.

Structural model:
```
data_NdB2Os2
_chemical_formula_sum 'Nd8 B16 Os16'
_space_group_name_H-M_alt 'F d d d'
_space_group_IT_number 70
_cell_length_a 6.628
_cell_length_b 9.152
_cell_length_c 10.063
_cell_angle_alpha 90.00
_cell_angle_beta 90.00
_cell_angle_gamma 90.00
loop_
_space_group_symop_operation_xyz
'x,y,z'
'-x,-y,-z'
'-x+1/4,-y+1/4,z'
'x+1/4,y+1/4,-z'
'x,-y+1/4,-z+1/4'
'-x,y+1/4,z+1/4'
'-x+1/4,y,-z+1/4'
'x+1/4,-y,z+1/4'
'x,y+1/2,z+1/2'
'-x,-y+1/2,-z+1/2'
'-x+1/4,-y+3/4,z+1/2'
'x+1/4,y+3/4,-z+1/2'
'x,-y+3/4,-z+3/4'
'-x,y+3/4,z+3/4'
'-x+1/4,y+1/2,-z+3/4'
'x+1/4,-y+1/2,z+3/4'
'x+1/2,y,z+1/2'
'-x+1/2,-y,-z+1/2'
'-x+3/4,-y+1/4,z+1/2'
'x+3/4,y+1/4,-z+1/2'
'x+1/2,-y+1/4,-z+3/4'
'-x+1/2,y+1/4,z+3/4'
'-x+3/4,y,-z+3/4'
'x+3/4,-y,z+3/4'
'x+1/2,y+1/2,z'
'-x+1/2,-y+1/2,-z'
'-x+3/4,-y+3/4,z'
'x+3/4,y+3/4,-z'
'x+1/2,-y+3/4,-z+1/4'
'-x+1/2,y+3/4,z+1/4'
'-x+3/4,y+1/2,-z+1/4'
'x+3/4,-y+1/2,z+1/4'
loop_
_atom_site_label
_atom_site_fract_x
_atom_site_fract_y
_atom_site_fract_z
Nd1 0.125 0.125 0.125
B1 0.125 0.310 0.625
Os1 0.125 0.125 0.488
```

Main lines, in order of falling intensity (5° ≤ 2θ ≤ 70°):
(hkl)  two_theta  intensity
2 2 0  33.38  100
1 1 3  31.45  94
1 3 3  42.30  46
0 4 0  39.38  33
3 1 3  50.46  25
1 1 1  18.73  18
3 3 3  58.46  18
2 6 0  67.62  16
1 5 3  59.17  15
4 0 0  55.45  13